[1]
Starting from the PBE geometry in the Materials Project, the powder diffraction line list of BaO was computed for a wavelength of 1.5418 Å.
Kinematic intensities with the Lorentz-polarization factor, no thermal factor.

Atomic structure:
```
data_BaO
_symmetry_space_group_name_H-M 'F m -3 m'
_symmetry_Int_Tables_number 225
_symmetry_space_group_name_Hall '-F 4 2 3'
_cell_length_a 5.615
_cell_length_b 5.615
_cell_length_c 5.615
_cell_angle_alpha 90.00
_cell_angle_beta 90.00
_cell_angle_gamma 90.00
loop_
_atom_site_label
_atom_site_type_symbol
_atom_site_fract_x
_atom_site_fract_y
_atom_site_fract_z
_atom_site_occupancy
Ba1 Ba 0.000 0.000 0.000 1
O1 O 0.000 0.000 0.500 1
```

Principal peaks in the range 2θ = 10–80°, by angle:
- d 3.242, I 100, hkl 1 1 1
- d 2.807, I 87, hkl 2 0 0
- d 1.985, I 62, hkl 2 2 0
- d 1.693, I 48, hkl 3 1 1
- d 1.621, I 21, hkl 2 2 2
- d 1.256, I 27, hkl 4 2 0

=====

[2]
Starting from the PBE geometry in the Materials Project, the powder diffraction line list of Ga3Te9Pd32 was computed for a wavelength of 1.5418 Å.
Kinematic intensities with the Lorentz-polarization factor, no thermal factor.

Atomic structure:
```
data_Ga3Te9Pd32
_symmetry_space_group_name_H-M 'R 3'
_symmetry_Int_Tables_number 146
_symmetry_space_group_name_Hall 'R 3'
_cell_length_a 7.7052
_cell_length_b 7.7052
_cell_length_c 43.4113
_cell_angle_alpha 90.00
_cell_angle_beta 90.00
_cell_angle_gamma 120.00
loop_
_atom_site_label
_atom_site_type_symbol
_atom_site_fract_x
_atom_site_fract_y
_atom_site_fract_z
_atom_site_occupancy
Ga1 Ga 0.0000 0.0000 0.0000 1
Ga2 Ga 0.0000 0.0000 0.1583 1
Ga3 Ga 0.0000 0.0000 0.6581 1
Te1 Te 0.0000 0.0000 0.3156 1
Te2 Te 0.0000 0.0000 0.4995 1
Te3 Te 0.0000 0.0000 0.8151 1
Te4 Te 0.0142 0.3450 0.0737 1
Te5 Te 0.0163 0.6676 0.5752 1
Pd1 Pd 0.0000 0.0000 0.0971 1
Pd2 Pd 0.0000 0.0000 0.2187 1
Pd3 Pd 0.0000 0.0000 0.3764 1
Pd4 Pd 0.0000 0.0000 0.4400 1
Pd5 Pd 0.0000 0.0000 0.5969 1
Pd6 Pd 0.0000 0.0000 0.7185 1
Pd7 Pd 0.0000 0.0000 0.8760 1
Pd8 Pd 0.0000 0.0000 0.9416 1
Pd9 Pd 0.0005 0.6357 0.5077 1
Pd10 Pd 0.0014 0.7342 0.7725 1
Pd11 Pd 0.0027 0.2683 0.2725 1
Pd12 Pd 0.0027 0.3611 0.0074 1
Pd13 Pd 0.0052 0.3678 0.8071 1
Pd14 Pd 0.0341 0.6998 0.6413 1
Pd15 Pd 0.0787 0.4059 0.2090 1
Pd16 Pd 0.0861 0.6729 0.7080 1
```

Principal peaks in the range 2θ = 10–80°, by angle:
- d 2.518, I 16, hkl 2 1 1
- d 2.314, I 100, hkl 1 1 15
- d 2.271, I 18, hkl 2 0 14
- d 2.224, I 100, hkl 3 0 0
- d 2.044, I 16, hkl 2 -1 18
- d 1.604, I 15, hkl 4 -2 15